1.
# GaAgF
Calculated X-ray powder pattern, λ = 1.5418 Å (Cu Kα). Input: a DFT-relaxed cell (GGA-PBE, Alexandria).
Peak positions follow from Bragg's law for the DFT cell and can differ from measured ones.

Structural model:
Cell: 3.009 5.372 7.829 Å, 109.03 98.98 90.76°
Space group P-1 (No. 2)
Symmetry-distinct sites (fractional):
1 Ga 0.107 0.134 0.170 (multiplicity 2)
2 Ag 0.311 0.462 0.647 (multiplicity 2)
3 F 0.160 0.874 0.287 (multiplicity 2)

Largest 10 diffraction maxima, low angle first, 2θ = 10–90°:
| 2θ/deg | d [Å] | I/Imax | (hkl) |
| --- | --- | --- | --- |
| 12.1 | 7.293 | 34 | 0 0 1 |
| 17.7 | 5.014 | 100 | 0 1 -1 |
| 24.4 | 3.641 | 64 | 0 0 2 |
| 34.0 | 2.639 | 37 | 1 -1 0 |
| 34.4 | 2.608 | 42 | 1 1 -1 |
| 35.2 | 2.547 | 39 | 0 1 -3 |
| 41.8 | 2.160 | 36 | 1 1 1 |
| 42.4 | 2.130 | 28 | 1 0 2 |
| 42.7 | 2.116 | 27 | -1 1 2 |
| 45.3 | 2.001 | 28 | 1 -2 1 |



2.
# GaAg2PbF8
Calculated X-ray powder pattern, λ = 1.5418 Å (Cu Kα). Input: a DFT-relaxed cell (GGA-PBE, Alexandria).
Peak positions follow from Bragg's law for the DFT cell and can differ from measured ones.

Structural model:
Cell: 4.964 7.095 5.433 Å, 90.00 94.75 90.00°
Space group P2/m (No. 10)
Symmetry-distinct sites (fractional):
1 Ga 0.000 0.000 0.000 (multiplicity 1)
2 Ag 0.500 0.238 0.500 (multiplicity 2)
3 Pb 0.000 0.500 0.000 (multiplicity 1)
4 F 0.143 0.199 0.808 (multiplicity 4)
5 F 0.321 0.000 0.242 (multiplicity 2)
6 F 0.411 0.500 0.272 (multiplicity 2)

Largest 10 diffraction maxima, low angle first, 2θ = 10–90°:
| 2θ/deg | d [Å] | I/Imax | (hkl) |
| --- | --- | --- | --- |
| 23.3 | 3.813 | 100 | 1 0 -1 |
| 25.4 | 3.510 | 82 | 1 0 1 |
| 30.1 | 2.967 | 86 | 0 2 1 |
| 31.0 | 2.883 | 59 | 1 2 0 |
| 36.3 | 2.474 | 27 | 2 0 0 |
| 44.8 | 2.023 | 47 | 1 2 -2 |
| 46.7 | 1.944 | 28 | 2 2 -1 |
| 47.1 | 1.928 | 33 | 1 2 2 |
| 49.0 | 1.859 | 26 | 2 2 1 |
| 57.3 | 1.608 | 37 | 0 2 3 |



3.
# AgGeF5
Calculated X-ray powder pattern, λ = 1.5418 Å (Cu Kα). Input: a DFT-relaxed cell (GGA-PBE, Alexandria).
Peak positions follow from Bragg's law for the DFT cell and can differ from measured ones.

Structural model:
Cell: 8.604 10.004 6.260 Å, 90.00 124.32 90.00°
Space group C2/c (No. 15)
Symmetry-distinct sites (fractional):
1 Ag 0.000 0.126 0.250 (multiplicity 4)
2 Ge 0.250 0.250 0.000 (multiplicity 4)
3 F 0.000 0.318 0.750 (multiplicity 4)
4 F 0.157 0.091 0.015 (multiplicity 8)
5 F 0.232 0.308 0.257 (multiplicity 8)

Largest 10 diffraction maxima, low angle first, 2θ = 10–90°:
| 2θ/deg | d [Å] | I/Imax | (hkl) |
| --- | --- | --- | --- |
| 15.3 | 5.794 | 100 | 1 1 0 |
| 17.7 | 5.002 | 52 | 0 2 0 |
| 24.8 | 3.595 | 45 | 0 2 1 |
| 27.5 | 3.241 | 45 | 2 2 -1 |
| 27.9 | 3.196 | 78 | 1 1 1 |
| 29.1 | 3.070 | 44 | 2 0 -2 |
| 30.5 | 2.931 | 38 | 1 3 -1 |
| 42.2 | 2.142 | 33 | 2 2 1 |
| 44.3 | 2.045 | 29 | 2 4 0 |
| 47.4 | 1.919 | 34 | 2 2 -3 |



4.
# Ag3GeF8
Calculated X-ray powder pattern, λ = 1.5418 Å (Cu Kα). Input: a DFT-relaxed cell (GGA-PBE, Alexandria).
Peak positions follow from Bragg's law for the DFT cell and can differ from measured ones.

Structural model:
Cell: 5.650 10.977 6.895 Å, 90.00 90.00 90.00°
Space group C222 (No. 21)
Symmetry-distinct sites (fractional):
1 Ag 0.000 0.000 0.000 (multiplicity 2)
2 Ag 0.250 0.250 0.757 (multiplicity 4)
3 Ge 0.000 0.000 0.500 (multiplicity 2)
4 F 0.000 0.171 0.500 (multiplicity 4)
5 F 0.000 0.199 0.000 (multiplicity 4)
6 F 0.227 0.006 0.688 (multiplicity 8)

Largest 10 diffraction maxima, low angle first, 2θ = 10–90°:
| 2θ/deg | d [Å] | I/Imax | (hkl) |
| --- | --- | --- | --- |
| 17.7 | 5.023 | 86 | 1 1 0 |
| 21.9 | 4.060 | 100 | 1 1 1 |
| 30.6 | 2.919 | 37 | 0 2 2 |
| 31.5 | 2.842 | 34 | 1 1 2 |
| 31.9 | 2.805 | 36 | 1 3 1 |
| 32.6 | 2.744 | 41 | 0 4 0 |
| 35.7 | 2.512 | 22 | 2 2 0 |
| 41.3 | 2.185 | 52 | 2 0 2 |
| 43.3 | 2.090 | 16 | 1 1 3 |
| 53.6 | 1.709 | 33 | 2 4 2 |



5.
# AgHgGeF6
Calculated X-ray powder pattern, λ = 1.5418 Å (Cu Kα). Input: a DFT-relaxed cell (GGA-PBE, Alexandria).
Peak positions follow from Bragg's law for the DFT cell and can differ from measured ones.

Structural model:
Cell: 5.919 10.364 4.988 Å, 90.00 90.28 90.00°
Space group C2 (No. 5)
Symmetry-distinct sites (fractional):
1 Ag 0.000 0.000 0.000 (multiplicity 2)
2 Hg 0.000 0.665 0.500 (multiplicity 2)
3 Ge 0.000 0.332 0.000 (multiplicity 2)
4 F 0.125 0.204 0.788 (multiplicity 4)
5 F 0.127 0.458 0.790 (multiplicity 4)
6 F 0.242 0.833 0.791 (multiplicity 4)

Largest 10 diffraction maxima, low angle first, 2θ = 10–90°:
| 2θ/deg | d [Å] | I/Imax | (hkl) |
| --- | --- | --- | --- |
| 24.8 | 3.590 | 100 | 1 1 -1 |
| 24.9 | 3.572 | 50 | 1 1 1 |
| 29.9 | 2.984 | 41 | 1 3 0 |
| 30.2 | 2.960 | 20 | 2 0 0 |
| 39.2 | 2.299 | 15 | 0 4 1 |
| 39.4 | 2.289 | 14 | 2 2 -1 |
| 39.5 | 2.281 | 14 | 2 2 1 |
| 47.5 | 1.916 | 21 | 1 3 -2 |
| 47.6 | 1.911 | 22 | 1 3 2 |
| 50.1 | 1.821 | 15 | 1 5 -1 |



6.
# AgHg2GeF8
Calculated X-ray powder pattern, λ = 1.5418 Å (Cu Kα). Input: a DFT-relaxed cell (GGA-PBE, Alexandria).
Peak positions follow from Bragg's law for the DFT cell and can differ from measured ones.

Structural model:
Cell: 5.322 5.323 6.657 Å, 87.10 87.47 88.13°
Space group P-1 (No. 2)
Symmetry-distinct sites (fractional):
1 Ag 0.000 0.000 0.000 (multiplicity 1)
2 Hg 0.489 0.504 0.290 (multiplicity 2)
3 Ge 0.000 0.000 0.500 (multiplicity 1)
4 F 0.064 0.698 0.630 (multiplicity 2)
5 F 0.161 0.160 0.700 (multiplicity 2)
6 F 0.295 0.981 0.351 (multiplicity 2)
7 F 0.309 0.676 0.004 (multiplicity 2)

Largest 10 diffraction maxima, low angle first, 2θ = 10–90°:
| 2θ/deg | d [Å] | I/Imax | (hkl) |
| --- | --- | --- | --- |
| 16.7 | 5.314 | 34 | 0 1 0 |
| 23.3 | 3.816 | 100 | 1 1 0 |
| 24.0 | 3.701 | 78 | 1 -1 0 |
| 31.1 | 2.876 | 69 | 1 0 2 |
| 32.4 | 2.760 | 56 | 1 0 -2 |
| 33.7 | 2.657 | 63 | 0 2 0 |
| 45.2 | 2.008 | 19 | 2 1 2 |
| 48.0 | 1.895 | 31 | 1 -2 2 |
| 54.1 | 1.696 | 20 | 3 1 0 |
| 55.1 | 1.665 | 20 | 1 -3 0 |